Diffraction record for Pm2Pr6Th. The XRD peak list is theoretical, not measured: it uses the PBE geometry in Alexandria and Cu Kα.
Intensities are scaled so that the largest is 100.

Top 8 peaks for 2θ = 10–90°, low angle first:
| 2theta | Rel. int. | index |
| --- | --- | --- |
| 28.07 | 45 | 1 0 0 |
| 29.11 | 48 | 0 0 9 |
| 30.97 | 66 | 1 0 4 |
| 32.50 | 100 | 1 0 5 |
| 40.88 | 30 | 1 0 9 |
| 49.68 | 35 | 1 1 0 |
| 54.78 | 31 | 1 0 14 |
| 58.61 | 40 | 1 1 9 |

Cell and atoms:
```
data_Pm2Pr6Th
_chemical_formula_sum 'Pm2 Pr6 Th1'
_cell_length_a 3.6706
_cell_length_b 3.6706
_cell_length_c 27.6091
_cell_angle_alpha 90.00
_cell_angle_beta 90.00
_cell_angle_gamma 120.00
_space_group_name_H-M_alt 'P -6 m 2'
_space_group_IT_number 187
_space_group_name_Hall 'P -6 2'
loop_
_atom_site_label
_atom_site_type_symbol
_atom_site_fract_x
_atom_site_fract_y
_atom_site_fract_z
Pm1 Pm 0.0000 0.0000 0.1700
Pr1 Pr 0.0000 0.0000 0.3929
Pr2 Pr 0.6667 0.3333 0.0641
Pr3 Pr 0.6667 0.3333 0.2809
Th1 Th 0.6667 0.3333 0.5000
```



Diffraction record for Ba3PrPa2O9. The XRD peak list is theoretical, not measured: it uses the PBE geometry in Alexandria and Cu Kα.
Intensities are scaled so that the largest is 100.

Top 8 peaks for 2θ = 10–90°, low angle first:
| 2theta | Rel. int. | index |
| --- | --- | --- |
| 19.61 | 10 | 1 0 1 |
| 27.88 | 100 | 1 1 0 |
| 39.83 | 28 | 2 0 2 |
| 49.32 | 43 | 3 0 0 |
| 57.60 | 18 | 2 2 0 |
| 65.18 | 19 | 3 1 2 |
| 79.16 | 17 | 4 1 0 |
| 79.25 | 5 | 1 1 6 |

Cell and atoms:
```
data_Ba3PrPa2O9
_chemical_formula_sum 'Ba3 Pr1 Pa2 O9'
_cell_length_a 6.4038
_cell_length_b 6.4038
_cell_length_c 7.8322
_cell_angle_alpha 90.00
_cell_angle_beta 90.00
_cell_angle_gamma 120.00
_space_group_name_H-M_alt 'P -3 m 1'
_space_group_IT_number 164
_space_group_name_Hall '-P 3 2"'
loop_
_atom_site_label
_atom_site_type_symbol
_atom_site_fract_x
_atom_site_fract_y
_atom_site_fract_z
Ba1 Ba 0.0000 0.0000 0.0000
Ba2 Ba 0.3333 0.6667 0.6548
Pr1 Pr 0.0000 0.0000 0.5000
Pa1 Pa 0.3333 0.6667 0.1639
O1 O 0.0000 0.5000 0.0000
O2 O 0.1734 0.3469 0.3266
```



Diffraction record for AuI2. The XRD peak list is theoretical, not measured: it uses the PBE geometry in Alexandria and Cu Kα.
Intensities are scaled so that the largest is 100.

Top 8 peaks for 2θ = 10–90°, low angle first:
| 2theta | Rel. int. | index |
| --- | --- | --- |
| 13.55 | 44 | 0 0 1 |
| 16.30 | 37 | 2 0 -1 |
| 18.45 | 48 | 1 1 0 |
| 22.10 | 42 | 1 1 -1 |
| 27.09 | 100 | 3 1 -1 |
| 32.67 | 48 | 2 0 2 |
| 41.53 | 33 | 5 1 1 |
| 44.32 | 27 | 1 1 -3 |

Cell and atoms:
```
data_AuI2
_chemical_formula_sum 'Au4 I8'
_cell_length_a 14.469
_cell_length_b 5.116
_cell_length_c 6.705
_cell_angle_alpha 90.00
_cell_angle_beta 102.91
_cell_angle_gamma 90.00
_space_group_name_H-M_alt 'C 1 2 1'
_space_group_IT_number 5
_space_group_name_Hall 'C 2y'
loop_
_atom_site_label
_atom_site_type_symbol
_atom_site_fract_x
_atom_site_fract_y
_atom_site_fract_z
Au1 Au 0.126 0.000 0.384
I1 I 0.000 0.321 0.500
I2 I 0.000 0.923 0.000
I3 I 0.229 0.634 0.256
```



Diffraction record for Nb4NiAs. The XRD peak list is theoretical, not measured: it uses the PBE geometry in Alexandria and Cu Kα.
Intensities are scaled so that the largest is 100.

Top 8 peaks for 2θ = 10–90°, low angle first:
| 2theta | Rel. int. | index |
| --- | --- | --- |
| 36.63 | 100 | 2 1 1 |
| 40.89 | 28 | 1 1 2 |
| 45.84 | 37 | 3 1 0 |
| 45.95 | 27 | 2 0 2 |
| 63.99 | 12 | 4 1 1 |
| 64.16 | 19 | 2 1 3 |
| 70.65 | 12 | 4 0 2 |
| 74.30 | 18 | 3 3 2 |

Cell and atoms:
```
data_Nb4NiAs
_chemical_formula_sum 'Nb8 Ni2 As2'
_cell_length_a 6.260
_cell_length_b 6.260
_cell_length_c 5.092
_cell_angle_alpha 90.00
_cell_angle_beta 90.00
_cell_angle_gamma 90.00
_space_group_name_H-M_alt 'P 4/m c c'
_space_group_IT_number 124
_space_group_name_Hall '-P 4 2c'
loop_
_atom_site_label
_atom_site_type_symbol
_atom_site_fract_x
_atom_site_fract_y
_atom_site_fract_z
Nb1 Nb 0.151 0.333 0.000
Ni1 Ni 0.000 0.000 0.250
As1 As 0.500 0.500 0.250
```